[1]
Calculated powder X-ray diffraction pattern of PdAu3 for Cu Kα, from DFT lattice parameters and positions (GGA-PBE).

Peak list (10 most intense, 5 to 70 degrees two-theta, sorted by position)
hkl 0 0 2, 2θ = 21.8°, I = 15
hkl 1 0 1, 2θ = 24.1°, I = 49
hkl 1 1 0, 2θ = 30.5°, I = 14
hkl 1 1 2, 2θ = 37.8°, I = 1000
hkl 1 0 3, 2θ = 39.7°, I = 15
hkl 2 0 0, 2θ = 43.7°, I = 334
hkl 0 0 4, 2θ = 44.4°, I = 160
hkl 2 1 1, 2θ = 50.6°, I = 15
hkl 2 2 0, 2θ = 63.6°, I = 111
hkl 2 0 4, 2θ = 64.1°, I = 216

Structural model:
```
data_PdAu3
_chemical_formula_sum 'Pd2 Au6'
_symmetry_space_group_name_H-M 'I 4/m m m'
_symmetry_Int_Tables_number 139
_symmetry_space_group_name_Hall '-I 4 2'
_cell_length_a 4.1390
_cell_length_b 4.1390
_cell_length_c 8.1547
_cell_angle_alpha 90.00
_cell_angle_beta 90.00
_cell_angle_gamma 90.00
loop_
_atom_site_label
_atom_site_type_symbol
_atom_site_fract_x
_atom_site_fract_y
_atom_site_fract_z
Pd1 Pd 0.0000 0.0000 0.0000
Au1 Au 0.0000 0.0000 0.5000
Au2 Au 0.0000 0.5000 0.2500
```



[2]
Calculated powder X-ray diffraction pattern of K5Na3Ta2Nb6O24 for Cu Kα, from DFT lattice parameters and positions (GGA-PBE).

Peak list (10 most intense, 5 to 70 degrees two-theta, sorted by position)
hkl 0 1 1, 2θ = 11.0°, I = 87
hkl 0 2 0, 2θ = 15.5°, I = 41
hkl 2 0 0, 2θ = 22.1°, I = 666
hkl 2 1 1, 2θ = 24.7°, I = 60
hkl 2 2 2, 2θ = 31.4°, I = 1000
hkl 2 3 1, 2θ = 33.4°, I = 35
hkl 4 0 0, 2θ = 45.0°, I = 390
hkl 4 2 2, 2θ = 50.7°, I = 276
hkl 4 4 0, 2θ = 55.9°, I = 386
hkl 4 4 4, 2θ = 65.5°, I = 226

Structural model:
```
data_K5Na3Ta2Nb6O24
_chemical_formula_sum 'K10 Na6 Ta4 Nb12 O48'
_symmetry_space_group_name_H-M 'A m m 2'
_symmetry_Int_Tables_number 38
_cell_length_a 8.0582
_cell_length_b 11.3979
_cell_length_c 11.3985
_cell_angle_alpha 90.00
_cell_angle_beta 90.00
_cell_angle_gamma 90.00
loop_
_symmetry_equiv_pos_as_xyz
'x,y,z'
'-x,-y,z'
'-x,y,z'
'x,-y,z'
'x,y+1/2,z+1/2'
'-x,-y+1/2,z+1/2'
'-x,y+1/2,z+1/2'
'x,-y+1/2,z+1/2'
loop_
_atom_site_label
_atom_site_type_symbol
_atom_site_fract_x
_atom_site_fract_y
_atom_site_fract_z
K1 K 0.0000 0.0000 0.0000
K2 K 0.0000 0.0000 0.4998
K3 K 0.0000 0.2499 0.2499
K4 K 0.5000 0.0000 0.0000
Na1 Na 0.5000 0.0000 0.4999
Na2 Na 0.5000 0.2500 0.2499
Ta1 Ta 0.2507 0.0000 0.7497
Nb1 Nb 0.2507 0.0000 0.2501
Nb2 Nb 0.2507 0.2502 0.9999
O1 O 0.0000 0.0000 0.2500
O2 O 0.0000 0.0000 0.7498
O3 O 0.0000 0.2501 0.9999
O4 O 0.2509 0.1254 0.1252
O5 O 0.2510 0.1248 0.8739
O6 O 0.2516 0.1244 0.6255
O7 O 0.2516 0.1250 0.3750
O8 O 0.5000 0.0000 0.2507
O9 O 0.5000 0.0000 0.7491
O10 O 0.5000 0.2492 0.4999
```



[3]
Calculated powder X-ray diffraction pattern of Gd2Sc3Si4 for Cu Kα, from DFT lattice parameters and positions (GGA-PBE).

Peak list (10 most intense, 5 to 70 degrees two-theta, sorted by position)
hkl 0 1 1, 2θ = 13.8°, I = 367
hkl 0 3 1, 2θ = 22.9°, I = 486
hkl 2 0 0, 2θ = 25.7°, I = 220
hkl 1 1 2, 2θ = 28.5°, I = 272
hkl 2 1 1, 2θ = 29.2°, I = 317
hkl 1 3 2, 2θ = 34.0°, I = 923
hkl 2 3 1, 2θ = 34.6°, I = 1000
hkl 0 4 2, 2θ = 35.8°, I = 419
hkl 1 0 3, 2θ = 39.4°, I = 332
hkl 3 0 1, 2θ = 40.9°, I = 273

Structural model:
```
data_Gd2Sc3Si4
_chemical_formula_sum 'Gd8 Sc12 Si16'
_symmetry_space_group_name_H-M 'P n m a'
_symmetry_Int_Tables_number 62
_cell_length_a 6.9447
_cell_length_b 13.8199
_cell_length_c 7.2716
_cell_angle_alpha 90.00
_cell_angle_beta 90.00
_cell_angle_gamma 90.00
loop_
_symmetry_equiv_pos_as_xyz
'x,y,z'
'-x,-y,-z'
'-x+1/2,-y,z+1/2'
'x+1/2,y,-z+1/2'
'x+1/2,-y+1/2,-z+1/2'
'-x+1/2,y+1/2,z+1/2'
'-x,y+1/2,-z'
'x,-y+1/2,z'
loop_
_atom_site_label
_atom_site_type_symbol
_atom_site_fract_x
_atom_site_fract_y
_atom_site_fract_z
Gd1 Gd 0.0096 0.0967 0.1737
Sc1 Sc 0.1616 0.7500 0.5050
Sc2 Sc 0.1723 0.1237 0.6753
Si1 Si 0.0335 0.7500 0.1201
Si2 Si 0.1548 0.5387 0.4639
Si3 Si 0.2144 0.2500 0.3776
```